# 1
For CsGa12, a crystal structure in Alexandria, relaxed with PBE gives the simulated powder XRD pattern in this record (λ = 1.5418 Å (Cu Kα)).

Top 12 peaks for 10° ≤ 2θ ≤ 90°, low angle first:
| hkl | 2θ (°) | I (rel.) |
| --- | --- | --- |
| 2 0 0 | 16.16 | 9 |
| 3 1 1 | 26.96 | 100 |
| 2 2 2 | 28.18 | 36 |
| 4 2 2 | 40.28 | 35 |
| 3 3 3 | 42.83 | 47 |
| 5 3 1 | 49.13 | 41 |
| 6 0 0 | 49.88 | 54 |
| 5 5 3 | 65.34 | 23 |
| 6 6 0 | 73.21 | 31 |
| 7 5 3 | 79.62 | 13 |
| 8 4 2 | 80.19 | 10 |
| 9 3 3 | 88.73 | 15 |

Cell and atoms:
a b c (Å): 10.9700 10.9700 10.9700
angles (deg): 90.00 90.00 90.00
Space group Fm-3m (No. 225)
Asymmetric unit:
Cs  0.0000  0.0000  0.0000 [4 per cell]
Ga  0.0000  0.1696  0.3304 [48 per cell]

# 2
For CsGa, a crystal structure in Alexandria, relaxed with PBE gives the simulated powder XRD pattern in this record (λ = 1.5418 Å (Cu Kα)).

Top 12 peaks for 10° ≤ 2θ ≤ 90°, low angle first:
| hkl | 2θ (°) | I (rel.) |
| --- | --- | --- |
| 0 0 1 | 11.58 | 20 |
| 0 4 0 | 20.86 | 38 |
| 1 0 1 | 22.62 | 40 |
| 1 2 1 | 24.95 | 56 |
| 0 2 2 | 25.55 | 100 |
| 1 3 1 | 27.60 | 21 |
| 1 4 1 | 30.94 | 51 |
| 1 5 1 | 34.84 | 43 |
| 2 0 0 | 39.31 | 24 |
| 1 2 3 | 41.95 | 21 |
| 1 7 1 | 43.72 | 25 |
| 2 2 2 | 47.47 | 36 |

Cell and atoms:
a b c (Å): 4.5838 17.0374 7.6418
angles (deg): 90.00 90.00 90.00
Space group Pmmn (No. 59, origin choice 2)
Asymmetric unit:
Cs  0.2500  0.0264  0.2289 [4 per cell]
Cs  0.2500  0.7500  0.4614 [2 per cell]
Ga  0.2500  0.2500  0.0087 [2 per cell]
Ga  0.2500  0.6685  0.9764 [4 per cell]

Repeat the first record exactly.
For CsGa12, a crystal structure in Alexandria, relaxed with PBE gives the simulated powder XRD pattern in this record (λ = 1.5418 Å (Cu Kα)).

Top 12 peaks for 10° ≤ 2θ ≤ 90°, low angle first:
| hkl | 2θ (°) | I (rel.) |
| --- | --- | --- |
| 2 0 0 | 16.16 | 9 |
| 3 1 1 | 26.96 | 100 |
| 2 2 2 | 28.18 | 36 |
| 4 2 2 | 40.28 | 35 |
| 3 3 3 | 42.83 | 47 |
| 5 3 1 | 49.13 | 41 |
| 6 0 0 | 49.88 | 54 |
| 5 5 3 | 65.34 | 23 |
| 6 6 0 | 73.21 | 31 |
| 7 5 3 | 79.62 | 13 |
| 8 4 2 | 80.19 | 10 |
| 9 3 3 | 88.73 | 15 |

Cell and atoms:
a b c (Å): 10.9700 10.9700 10.9700
angles (deg): 90.00 90.00 90.00
Space group Fm-3m (No. 225)
Asymmetric unit:
Cs  0.0000  0.0000  0.0000 [4 per cell]
Ga  0.0000  0.1696  0.3304 [48 per cell]